Starting from a DFT-relaxed cell (GGA-PBE, Alexandria), the XRD peak list of Nb14MoOs was simulated for Cu Kα (weighted mean of Kα1 and Kα2).

Structure:
```
data_Nb14MoOs
_space_group_name_H-M_alt 'C m m m'
_space_group_IT_number 65
_space_group_name_Hall '-C 2 2'
_cell_length_a 6.551
_cell_length_b 9.317
_cell_length_c 9.302
_cell_angle_alpha 90.00
_cell_angle_beta 90.00
_cell_angle_gamma 90.00
loop_
_atom_site_label
_atom_site_type_symbol
_atom_site_fract_x
_atom_site_fract_y
_atom_site_fract_z
Nb1 Nb 0.000 0.000 0.000
Nb2 Nb 0.000 0.249 0.251
Nb3 Nb 0.000 0.500 0.000
Nb4 Nb 0.249 0.500 0.260
Nb5 Nb 0.250 0.250 0.000
Nb6 Nb 0.250 0.250 0.500
Mo1 Mo 0.000 0.500 0.500
Os1 Os 0.000 0.000 0.500
```

Most intense lines, 10° ≤ 2θ ≤ 80°, by intensity:
| d_spacing | 2θ/deg | I (rel.) | index |
| --- | --- | --- | --- |
| 2.322 | 38.78 | 100 | 2 2 2 |
| 2.327 | 38.69 | 50 | 0 4 0 |
| 1.343 | 70.08 | 33 | 2 6 2 |
| 1.646 | 55.87 | 17 | 0 4 4 |
| 1.339 | 70.28 | 17 | 4 4 0 |
| 1.638 | 56.16 | 8 | 4 0 0 |
| 4.648 | 19.10 | 3 | 0 0 2 |
| 5.359 | 16.54 | 1 | 1 1 0 |
| 2.684 | 33.38 | 1 | 2 2 0 |
| 4.165 | 21.33 | 1 | 0 2 1 |



Starting from a DFT-relaxed cell (GGA-PBE, Alexandria), the XRD peak list of PaNbMo was simulated for Cu Kα (weighted mean of Kα1 and Kα2).

Structure:
```
data_PaNbMo
_space_group_name_H-M_alt 'P 3 m 1'
_space_group_IT_number 156
_space_group_name_Hall 'P 3 -2"'
_cell_length_a 4.6589
_cell_length_b 4.6589
_cell_length_c 3.0606
_cell_angle_alpha 90.00
_cell_angle_beta 90.00
_cell_angle_gamma 120.00
loop_
_atom_site_label
_atom_site_type_symbol
_atom_site_fract_x
_atom_site_fract_y
_atom_site_fract_z
Pa1 Pa 0.0000 0.0000 0.0000
Nb1 Nb 0.3333 0.6667 0.6852
Mo1 Mo 0.6667 0.3333 0.2930
```

Most intense lines, 10° ≤ 2θ ≤ 80°, by intensity:
| d_spacing | 2θ/deg | I (rel.) | index |
| --- | --- | --- | --- |
| 2.438 | 36.86 | 100 | 1 0 1 |
| 2.329 | 38.65 | 84 | 1 1 0 |
| 1.684 | 54.48 | 33 | 0 2 1 |
| 1.365 | 68.78 | 33 | 2 1 1 |
| 4.035 | 22.03 | 32 | 1 0 0 |
| 1.431 | 65.20 | 21 | 0 1 2 |
| 1.345 | 69.95 | 15 | 3 0 0 |
| 1.854 | 49.15 | 13 | 1 1 1 |
| 1.219 | 78.44 | 13 | 2 0 2 |
| 3.061 | 29.18 | 9 | 0 0 1 |



Starting from a DFT-relaxed cell (GGA-PBE, Alexandria), the XRD peak list of PaTaNbMo was simulated for Cu Kα (weighted mean of Kα1 and Kα2).

Structure:
```
data_PaTaNbMo
_space_group_name_H-M_alt 'F -4 3 m'
_space_group_IT_number 216
_space_group_name_Hall 'F -4 2 3'
_cell_length_a 6.729
_cell_length_b 6.729
_cell_length_c 6.729
_cell_angle_alpha 90.00
_cell_angle_beta 90.00
_cell_angle_gamma 90.00
loop_
_atom_site_label
_atom_site_type_symbol
_atom_site_fract_x
_atom_site_fract_y
_atom_site_fract_z
Pa1 Pa 0.000 0.000 0.000
Ta1 Ta 0.000 0.000 0.500
Nb1 Nb 0.250 0.250 0.750
Mo1 Mo 0.250 0.250 0.250
```

Most intense lines, 10° ≤ 2θ ≤ 80°, by intensity:
| d_spacing | 2θ/deg | I (rel.) | index |
| --- | --- | --- | --- |
| 2.379 | 37.82 | 100 | 2 2 0 |
| 1.373 | 68.29 | 36 | 4 2 2 |
| 1.682 | 54.55 | 17 | 4 0 0 |
| 3.364 | 26.49 | 15 | 2 0 0 |
| 1.505 | 61.65 | 7 | 4 2 0 |
| 1.942 | 46.77 | 5 | 2 2 2 |
| 3.885 | 22.89 | 1 | 1 1 1 |
| 2.029 | 44.67 | 1 | 3 1 1 |



Starting from a DFT-relaxed cell (GGA-PBE, Alexandria), the XRD peak list of Nb6MoPd was simulated for Cu Kα (weighted mean of Kα1 and Kα2).

Structure:
```
data_Nb6MoPd
_space_group_name_H-M_alt 'I 4/m m m'
_space_group_IT_number 139
_space_group_name_Hall '-I 4 2'
_cell_length_a 4.626
_cell_length_b 4.626
_cell_length_c 13.156
_cell_angle_alpha 90.00
_cell_angle_beta 90.00
_cell_angle_gamma 90.00
loop_
_atom_site_label
_atom_site_type_symbol
_atom_site_fract_x
_atom_site_fract_y
_atom_site_fract_z
Nb1 Nb 0.000 0.000 0.247
Nb2 Nb 0.000 0.500 0.123
Mo1 Mo 0.000 0.000 0.000
Pd1 Pd 0.000 0.000 0.500
```

Most intense lines, 10° ≤ 2θ ≤ 80°, by intensity:
| d_spacing | 2θ/deg | I (rel.) | index |
| --- | --- | --- | --- |
| 2.319 | 38.83 | 100 | 1 1 4 |
| 2.313 | 38.94 | 50 | 2 0 0 |
| 1.337 | 70.44 | 33 | 3 1 4 |
| 1.340 | 70.22 | 17 | 2 0 8 |
| 1.636 | 56.24 | 17 | 2 2 0 |
| 1.644 | 55.91 | 8 | 0 0 8 |



Starting from a DFT-relaxed cell (GGA-PBE, Alexandria), the XRD peak list of NbMoPtRh was simulated for Cu Kα (weighted mean of Kα1 and Kα2).

Structure:
```
data_NbMoPtRh
_space_group_name_H-M_alt 'P m m m'
_space_group_IT_number 47
_space_group_name_Hall '-P 2 2'
_cell_length_a 3.936
_cell_length_b 3.950
_cell_length_c 4.027
_cell_angle_alpha 90.00
_cell_angle_beta 90.00
_cell_angle_gamma 90.00
loop_
_atom_site_label
_atom_site_type_symbol
_atom_site_fract_x
_atom_site_fract_y
_atom_site_fract_z
Nb1 Nb 0.000 0.000 0.000
Mo1 Mo 0.500 0.500 0.000
Pt1 Pt 0.000 0.500 0.500
Rh1 Rh 0.500 0.000 0.500
```

Most intense lines, 10° ≤ 2θ ≤ 80°, by intensity:
| d_spacing | 2θ/deg | I (rel.) | index |
| --- | --- | --- | --- |
| 2.292 | 39.30 | 100 | 1 1 1 |
| 2.014 | 45.02 | 17 | 0 0 2 |
| 1.975 | 45.96 | 16 | 0 2 0 |
| 1.968 | 46.12 | 16 | 2 0 0 |
| 1.210 | 79.19 | 13 | 1 1 3 |
| 1.410 | 66.29 | 11 | 0 2 2 |
| 1.407 | 66.42 | 10 | 2 0 2 |
| 1.394 | 67.15 | 10 | 2 2 0 |
| 3.943 | 22.55 | 6 | 0 1 0 |
| 2.817 | 31.76 | 5 | 1 0 1 |



Starting from a DFT-relaxed cell (GGA-PBE, Alexandria), the XRD peak list of Nb4Re3Mo2 was simulated for Cu Kα (weighted mean of Kα1 and Kα2).

Structure:
```
data_Nb4Re3Mo2
_space_group_name_H-M_alt 'P -3 m 1'
_space_group_IT_number 164
_space_group_name_Hall '-P 3 2"'
_cell_length_a 4.5211
_cell_length_b 4.5211
_cell_length_c 8.3707
_cell_angle_alpha 90.00
_cell_angle_beta 90.00
_cell_angle_gamma 120.00
loop_
_atom_site_label
_atom_site_type_symbol
_atom_site_fract_x
_atom_site_fract_y
_atom_site_fract_z
Nb1 Nb 0.0000 0.0000 0.1682
Nb2 Nb 0.3333 0.6667 0.3876
Re1 Re 0.0000 0.0000 0.5000
Re2 Re 0.3333 0.6667 0.0488
Mo1 Mo 0.3333 0.6667 0.7267
```

Most intense lines, 10° ≤ 2θ ≤ 80°, by intensity:
| d_spacing | 2θ/deg | I (rel.) | index |
| --- | --- | --- | --- |
| 2.272 | 39.66 | 100 | 1 0 3 |
| 2.261 | 39.88 | 99 | 1 1 0 |
| 1.307 | 72.27 | 34 | 2 1 3 |
| 1.603 | 57.51 | 33 | 0 2 3 |
| 1.305 | 72.41 | 17 | 3 0 0 |
| 1.314 | 71.83 | 17 | 0 1 6 |
| 3.547 | 25.11 | 16 | 1 0 1 |
| 4.185 | 21.23 | 6 | 0 0 2 |
| 1.989 | 45.61 | 6 | 1 1 2 |
| 8.371 | 10.57 | 4 | 0 0 1 |



Starting from a DFT-relaxed cell (GGA-PBE, Alexandria), the XRD peak list of Nb7Re2Mo2 was simulated for Cu Kα (weighted mean of Kα1 and Kα2).

Structure:
```
data_Nb7Re2Mo2
_space_group_name_H-M_alt 'I m m m'
_space_group_IT_number 71
_space_group_name_Hall '-I 2 2'
_cell_length_a 4.532
_cell_length_b 9.084
_cell_length_c 9.624
_cell_angle_alpha 90.00
_cell_angle_beta 90.00
_cell_angle_gamma 90.00
loop_
_atom_site_label
_atom_site_type_symbol
_atom_site_fract_x
_atom_site_fract_y
_atom_site_fract_z
Nb1 Nb 0.000 0.000 0.000
Nb2 Nb 0.000 0.000 0.340
Nb3 Nb 0.000 0.262 0.163
Re1 Re 0.000 0.500 0.334
Mo1 Mo 0.000 0.256 0.500
```

Most intense lines, 10° ≤ 2θ ≤ 80°, by intensity:
| d_spacing | 2θ/deg | I (rel.) | index |
| --- | --- | --- | --- |
| 2.269 | 39.73 | 100 | 2 0 0 |
| 1.310 | 72.09 | 22 | 2 0 6 |
| 1.604 | 57.45 | 16 | 0 0 6 |
| 1.309 | 72.18 | 11 | 3 2 3 |
| 6.606 | 13.40 | 9 | 0 1 1 |
| 3.101 | 28.79 | 4 | 1 1 2 |
| 4.100 | 21.67 | 4 | 1 0 1 |
| 3.044 | 29.34 | 4 | 1 2 1 |
| 3.303 | 26.99 | 2 | 0 2 2 |
| 2.889 | 30.96 | 2 | 0 3 1 |



Starting from a DFT-relaxed cell (GGA-PBE, Alexandria), the XRD peak list of Nb3Re2Mo4 was simulated for Cu Kα (weighted mean of Kα1 and Kα2).

Structure:
```
data_Nb3Re2Mo4
_space_group_name_H-M_alt 'P -3 m 1'
_space_group_IT_number 164
_space_group_name_Hall '-P 3 2"'
_cell_length_a 4.5058
_cell_length_b 4.5058
_cell_length_c 8.3251
_cell_angle_alpha 90.00
_cell_angle_beta 90.00
_cell_angle_gamma 120.00
loop_
_atom_site_label
_atom_site_type_symbol
_atom_site_fract_x
_atom_site_fract_y
_atom_site_fract_z
Nb1 Nb 0.0000 0.0000 0.0000
Nb2 Nb 0.3333 0.6667 0.4430
Re1 Re 0.3333 0.6667 0.7814
Mo1 Mo 0.0000 0.0000 0.3312
Mo2 Mo 0.3333 0.6667 0.1095
```

Most intense lines, 10° ≤ 2θ ≤ 80°, by intensity:
| d_spacing | 2θ/deg | I (rel.) | index |
| --- | --- | --- | --- |
| 2.261 | 39.86 | 100 | 0 1 3 |
| 2.253 | 40.02 | 99 | 1 1 0 |
| 1.302 | 72.59 | 33 | 1 2 3 |
| 1.596 | 57.76 | 33 | 2 0 3 |
| 1.307 | 72.27 | 17 | 1 0 6 |
| 1.301 | 72.70 | 17 | 3 0 0 |
| 3.533 | 25.21 | 13 | 0 1 1 |
| 4.163 | 21.35 | 4 | 0 0 2 |
| 1.981 | 45.80 | 3 | 1 1 2 |
| 2.847 | 31.42 | 3 | 1 0 2 |



Starting from a DFT-relaxed cell (GGA-PBE, Alexandria), the XRD peak list of NbRe2Mo6 was simulated for Cu Kα (weighted mean of Kα1 and Kα2).

Structure:
```
data_NbRe2Mo6
_space_group_name_H-M_alt 'P -1'
_space_group_IT_number 2
_space_group_name_Hall '-P 1'
_cell_length_a 2.743
_cell_length_b 6.885
_cell_length_c 7.775
_cell_angle_alpha 100.73
_cell_angle_beta 90.11
_cell_angle_gamma 97.54
loop_
_atom_site_label
_atom_site_type_symbol
_atom_site_fract_x
_atom_site_fract_y
_atom_site_fract_z
Nb1 Nb 0.000 0.000 0.000
Re1 Re 0.116 0.334 0.555
Mo1 Mo 0.218 0.663 0.114
Mo2 Mo 0.342 0.000 0.662
Mo3 Mo 0.438 0.337 0.227
```

Most intense lines, 10° ≤ 2θ ≤ 80°, by intensity:
| d_spacing | 2θ/deg | I (rel.) | index |
| --- | --- | --- | --- |
| 2.242 | 40.23 | 100 | 1 1 1 |
| 2.235 | 40.35 | 50 | 0 3 0 |
| 1.584 | 58.26 | 25 | 1 -1 4 |
| 1.293 | 73.19 | 21 | 1 2 4 |
| 7.636 | 11.59 | 13 | 0 0 1 |
| 1.291 | 73.32 | 13 | 1 4 1 |
| 1.296 | 73.02 | 13 | 0 1 -6 |
| 1.290 | 73.42 | 4 | 1 -5 1 |
| 6.704 | 13.21 | 3 | 0 1 0 |
| 4.625 | 19.19 | 2 | 0 1 1 |



Starting from a DFT-relaxed cell (GGA-PBE, Alexandria), the XRD peak list of Nb2ReMo3 was simulated for Cu Kα (weighted mean of Kα1 and Kα2).

Structure:
```
data_Nb2ReMo3
_space_group_name_H-M_alt 'C m m m'
_space_group_IT_number 65
_space_group_name_Hall '-C 2 2'
_cell_length_a 4.527
_cell_length_b 13.580
_cell_length_c 6.399
_cell_angle_alpha 90.00
_cell_angle_beta 90.00
_cell_angle_gamma 90.00
loop_
_atom_site_label
_atom_site_type_symbol
_atom_site_fract_x
_atom_site_fract_y
_atom_site_fract_z
Nb1 Nb 0.000 0.000 0.000
Nb2 Nb 0.000 0.000 0.500
Nb3 Nb 0.000 0.333 0.000
Re1 Re 0.000 0.333 0.500
Mo1 Mo 0.000 0.168 0.255
Mo2 Mo 0.000 0.500 0.254
```

Most intense lines, 10° ≤ 2θ ≤ 80°, by intensity:
| d_spacing | 2θ/deg | I (rel.) | index |
| --- | --- | --- | --- |
| 2.263 | 39.83 | 100 | 2 0 0 |
| 1.307 | 72.32 | 34 | 3 3 2 |
| 1.600 | 57.60 | 17 | 2 6 0 |
| 6.399 | 13.84 | 4 | 0 0 1 |
| 3.200 | 27.88 | 2 | 0 0 2 |
| 2.863 | 31.24 | 2 | 1 3 1 |
| 2.134 | 42.36 | 1 | 2 0 1 |
| 6.790 | 13.04 | 1 | 0 2 0 |
| 3.566 | 24.97 | 1 | 1 1 1 |
| 1.775 | 51.48 | 1 | 1 3 3 |



Starting from a DFT-relaxed cell (GGA-PBE, Alexandria), the XRD peak list of Nb2Re2Mo was simulated for Cu Kα (weighted mean of Kα1 and Kα2).

Structure:
```
data_Nb2Re2Mo
_space_group_name_H-M_alt 'C m m m'
_space_group_IT_number 65
_space_group_name_Hall '-C 2 2'
_cell_length_a 3.214
_cell_length_b 16.538
_cell_length_c 3.225
_cell_angle_alpha 90.00
_cell_angle_beta 90.00
_cell_angle_gamma 90.00
loop_
_atom_site_label
_atom_site_type_symbol
_atom_site_fract_x
_atom_site_fract_y
_atom_site_fract_z
Nb1 Nb 0.000 0.099 0.000
Re1 Re 0.000 0.309 0.500
Mo1 Mo 0.000 0.500 0.500
```

Most intense lines, 10° ≤ 2θ ≤ 80°, by intensity:
| d_spacing | 2θ/deg | I (rel.) | index |
| --- | --- | --- | --- |
| 2.305 | 39.08 | 100 | 1 5 0 |
| 2.255 | 39.98 | 68 | 1 1 1 |
| 2.095 | 43.18 | 43 | 0 6 1 |
| 1.321 | 71.40 | 34 | 1 5 2 |
| 2.104 | 42.99 | 32 | 1 3 1 |
| 8.269 | 10.70 | 29 | 0 2 0 |
| 3.004 | 29.74 | 27 | 0 2 1 |
| 2.543 | 35.30 | 25 | 0 4 1 |
| 3.225 | 27.66 | 23 | 0 0 1 |
| 1.255 | 75.83 | 22 | 1 11 1 |



Starting from a DFT-relaxed cell (GGA-PBE, Alexandria), the XRD peak list of Nb3Re4Mo was simulated for Cu Kα (weighted mean of Kα1 and Kα2).

Structure:
```
data_Nb3Re4Mo
_space_group_name_H-M_alt 'P 4/m m m'
_space_group_IT_number 123
_space_group_name_Hall '-P 4 2'
_cell_length_a 3.186
_cell_length_b 3.186
_cell_length_c 12.772
_cell_angle_alpha 90.00
_cell_angle_beta 90.00
_cell_angle_gamma 90.00
loop_
_atom_site_label
_atom_site_type_symbol
_atom_site_fract_x
_atom_site_fract_y
_atom_site_fract_z
Nb1 Nb 0.000 0.000 0.000
Nb2 Nb 0.000 0.000 0.251
Re1 Re 0.500 0.500 0.126
Re2 Re 0.500 0.500 0.378
Mo1 Mo 0.000 0.000 0.500
```

Most intense lines, 10° ≤ 2θ ≤ 80°, by intensity:
| d_spacing | 2θ/deg | I (rel.) | index |
| --- | --- | --- | --- |
| 2.255 | 39.99 | 100 | 1 1 0 |
| 1.302 | 72.63 | 34 | 2 1 4 |
| 3.189 | 27.98 | 12 | 1 0 0 |
| 1.593 | 57.88 | 11 | 2 0 0 |
| 1.597 | 57.75 | 6 | 0 0 8 |
| 1.841 | 49.51 | 4 | 1 1 4 |
| 1.426 | 65.43 | 3 | 2 0 4 |
| 1.425 | 65.51 | 2 | 2 1 0 |